Theoretical powder diffractogram
Compound: Ca4Cu5As6
Radiation: copper Kα
Structure: the PBE geometry in Alexandria
Peak positions follow from Bragg's law for the DFT cell and can differ from measured ones.

Structure:
```
data_Ca4Cu5As6
_chemical_formula_sum 'Ca16 Cu20 As24'
_cell_length_a 4.1912
_cell_length_b 18.2975
_cell_length_c 15.6098
_cell_angle_alpha 90.00
_cell_angle_beta 90.00
_cell_angle_gamma 90.00
_space_group_name_H-M_alt 'C m c m'
_space_group_IT_number 63
_space_group_name_Hall '-C 2c 2'
loop_
_atom_site_label
_atom_site_type_symbol
_atom_site_fract_x
_atom_site_fract_y
_atom_site_fract_z
_atom_site_occupancy
Ca1 Ca 0.0000 0.0212 0.1201 1
Ca2 Ca 0.0000 0.1762 0.5705 1
Cu1 Cu 0.0000 0.1484 0.2500 1
Cu2 Cu 0.0000 0.2986 0.2500 1
Cu3 Cu 0.0000 0.3519 0.6133 1
Cu4 Cu 0.0000 0.4418 0.2500 1
As1 As 0.0000 0.1201 0.7500 1
As2 As 0.0000 0.2182 0.1188 1
As3 As 0.0000 0.4275 0.7500 1
As4 As 0.0000 0.4329 0.0136 1
```

Largest 10 diffraction maxima, by angle, 10° ≤ 2θ ≤ 90°:
| d (Å) | two_theta | I/Imax | (hkl) |
| --- | --- | --- | --- |
| 3.590 | 24.8 | 34 | 0 2 4 |
| 3.373 | 26.4 | 31 | 1 3 1 |
| 2.822 | 31.7 | 37 | 1 1 4 |
| 2.715 | 33.0 | 26 | 1 5 1 |
| 2.600 | 34.5 | 45 | 0 0 6 |
| 2.587 | 34.7 | 33 | 1 3 4 |
| 2.436 | 36.9 | 47 | 1 5 3 |
| 2.096 | 43.2 | 69 | 2 0 0 |
| 1.951 | 46.5 | 32 | 0 0 8 |
| 1.928 | 47.1 | 100 | 1 7 4 |

---

Theoretical powder diffractogram
Compound: CaCuAsHO5
Radiation: copper Kα
Structure: the PBE geometry in Alexandria
Peak positions follow from Bragg's law for the DFT cell and can differ from measured ones.

Structure:
```
data_CaCuAsHO5
_chemical_formula_sum 'Ca4 Cu4 As4 H4 O20'
_cell_length_a 5.8836
_cell_length_b 7.4206
_cell_length_c 9.5333
_cell_angle_alpha 90.00
_cell_angle_beta 90.00
_cell_angle_gamma 90.00
_space_group_name_H-M_alt 'P 21 21 21'
_space_group_IT_number 19
loop_
_space_group_symop_operation_xyz
'x,y,z'
'-x+1/2,-y,z+1/2'
'x+1/2,-y+1/2,-z'
'-x,y+1/2,-z+1/2'
loop_
_atom_site_label
_atom_site_type_symbol
_atom_site_fract_x
_atom_site_fract_y
_atom_site_fract_z
_atom_site_occupancy
Ca1 Ca 0.0193 0.1327 0.1800 1
Cu1 Cu 0.2478 0.7455 0.9977 1
As1 As 0.0156 0.6194 0.6614 1
H1 H 0.0160 0.9907 0.4818 1
O1 O 0.0022 0.9382 0.9600 1
O2 O 0.0042 0.1099 0.4326 1
O3 O 0.0874 0.7935 0.5509 1
O4 O 0.2371 0.1375 0.7505 1
O5 O 0.2456 0.6020 0.7720 1
```

Largest 10 diffraction maxima, by angle, 10° ≤ 2θ ≤ 90°:
| d (Å) | two_theta | I/Imax | (hkl) |
| --- | --- | --- | --- |
| 4.150 | 21.4 | 31 | 1 1 1 |
| 3.138 | 28.4 | 64 | 1 2 0 |
| 2.922 | 30.6 | 100 | 0 1 3 |
| 2.629 | 34.1 | 60 | 2 1 1 |
| 2.618 | 34.2 | 62 | 1 1 3 |
| 2.075 | 43.6 | 19 | 2 2 2 |
| 1.852 | 49.2 | 39 | 2 0 4 |
| 1.729 | 53.0 | 18 | 0 4 2 |
| 1.626 | 56.6 | 37 | 2 3 3 |
| 1.470 | 63.3 | 19 | 4 0 0 |